1.
For Cs2HoCl5, a cell relaxed with GGA-PBE gives the calculated powder XRD pattern in this record (Cu Ka).

Cell and atoms:
Cell: 9.719 7.562 15.515 Å, 90.00 90.00 90.00°
Sites, in units of the cell vectors:
Cs 0.025 0.250 0.212
Cs 0.165 0.750 0.416
Cs 0.335 0.250 0.916
Cs 0.475 0.750 0.712
Cs 0.525 0.250 0.288
Cs 0.665 0.750 0.084
Cs 0.835 0.250 0.584
Cs 0.975 0.750 0.788
Ho 0.178 0.750 0.065
Ho 0.322 0.250 0.565
Ho 0.678 0.750 0.435
Ho 0.822 0.250 0.935
Cl 0.000 0.000 0.000
Cl 0.000 0.500 0.000
Cl 0.019 0.750 0.200
Cl 0.167 0.502 0.619
Cl 0.167 0.998 0.619
Cl 0.212 0.250 0.409
Cl 0.288 0.750 0.909
Cl 0.333 0.002 0.119
Cl 0.333 0.498 0.119
Cl 0.481 0.250 0.700
Cl 0.500 0.000 0.500
Cl 0.500 0.500 0.500
Cl 0.519 0.750 0.300
Cl 0.667 0.502 0.881
Cl 0.667 0.998 0.881
Cl 0.712 0.250 0.091
Cl 0.788 0.750 0.591
Cl 0.833 0.002 0.381
Cl 0.833 0.498 0.381
Cl 0.981 0.250 0.800

Largest 6 diffraction maxima, sorted by position, 5 to 70 degrees two-theta:
2θ (°)  I/Imax
20.81  100
21.58  43
23.53  54
30.51  35
32.14  55
34.70  48



2.
For CaAl2Ge2, a cell relaxed with GGA-PBE gives the calculated powder XRD pattern in this record (Cu Ka).

Cell and atoms:
Cell: 4.204 4.204 7.176 Å, 90.00 90.00 120.00°
Sites, in units of the cell vectors:
Ca 0.000 0.000 0.000
Al 0.333 0.667 0.372
Al 0.667 0.333 0.628
Ge 0.333 0.667 0.741
Ge 0.667 0.333 0.259

Largest 6 diffraction maxima, sorted by position, 5 to 70 degrees two-theta:
2θ (°)  I/Imax
24.45  18
24.82  19
27.47  100
35.11  57
43.03  65
45.36  47



3.
For SmAgPb, a cell relaxed with GGA-PBE gives the calculated powder XRD pattern in this record (Cu Ka).

Cell and atoms:
Cell: 4.868 4.868 7.625 Å, 90.00 90.00 120.00°
Sites, in units of the cell vectors:
Sm 0.000 0.000 0.000
Sm 0.000 0.000 0.500
Ag 0.333 0.667 0.192
Ag 0.667 0.333 0.692
Pb 0.333 0.667 0.779
Pb 0.667 0.333 0.279

Largest 6 diffraction maxima, sorted by position, 5 to 70 degrees two-theta:
2θ (°)  I/Imax
24.12  26
31.64  100
36.93  88
41.48  25
49.40  29
63.25  28



4.
For Zr2NiP, a cell relaxed with GGA-PBE gives the calculated powder XRD pattern in this record (Cu Ka).

Cell and atoms:
Cell: 5.268 3.649 7.491 Å, 90.00 110.28 90.00°
Sites, in units of the cell vectors:
Zr 0.218 0.250 0.425
Zr 0.279 0.750 0.070
Zr 0.721 0.250 0.930
Zr 0.782 0.750 0.575
Ni 0.147 0.250 0.790
Ni 0.853 0.750 0.210
P 0.357 0.750 0.712
P 0.643 0.250 0.288

Largest 6 diffraction maxima, sorted by position, 5 to 70 degrees two-theta:
2θ (°)  I/Imax
30.49  24
35.48  100
36.34  48
44.25  40
44.39  25
48.44  22



5.
For NdSm3, a cell relaxed with GGA-PBE gives the calculated powder XRD pattern in this record (Cu Ka).

Cell and atoms:
Cell: 7.312 7.312 5.978 Å, 90.00 90.00 120.00°
Sites, in units of the cell vectors:
Nd 0.333 0.667 0.250
Nd 0.667 0.333 0.750
Sm 0.166 0.333 0.750
Sm 0.166 0.834 0.750
Sm 0.333 0.166 0.250
Sm 0.667 0.834 0.750
Sm 0.834 0.166 0.250
Sm 0.834 0.667 0.250

Largest 6 diffraction maxima, sorted by position, 5 to 70 degrees two-theta:
2θ (°)  I/Imax
28.19  23
29.90  27
31.99  100
49.89  19
54.41  22
59.26  23



Copy entry 5 word for word.
For NdSm3, a cell relaxed with GGA-PBE gives the calculated powder XRD pattern in this record (Cu Ka).

Cell and atoms:
Cell: 7.312 7.312 5.978 Å, 90.00 90.00 120.00°
Sites, in units of the cell vectors:
Nd 0.333 0.667 0.250
Nd 0.667 0.333 0.750
Sm 0.166 0.333 0.750
Sm 0.166 0.834 0.750
Sm 0.333 0.166 0.250
Sm 0.667 0.834 0.750
Sm 0.834 0.166 0.250
Sm 0.834 0.667 0.250

Largest 6 diffraction maxima, sorted by position, 5 to 70 degrees two-theta:
2θ (°)  I/Imax
28.19  23
29.90  27
31.99  100
49.89  19
54.41  22
59.26  23